No. 1
Theoretical X-ray diffraction stick pattern of NaZn2H8Ru for Cu Ka, from a crystal structure in Alexandria, relaxed with GGA-PBE.
Lines closer than 0.1° are merged.

Peak list (10 most intense, 2θ = 10–90°, by angle)
- (0 0 1), 2θ = 14.8°, 5.998 Å, I = 17.5
- (1 0 0), 2θ = 22.6°, 3.941 Å, I = 100.0
- (0 1 1), 2θ = 24.9°, 3.571 Å, I = 20.4
- (1 1 1), 2θ = 28.4°, 3.142 Å, I = 13.9
- (0 1 2), 2θ = 36.1°, 2.486 Å, I = 59.5
- (1 2 0), 2θ = 38.7°, 2.329 Å, I = 75.2
- (0 2 0), 2θ = 40.6°, 2.222 Å, I = 20.8
- (2 0 0), 2θ = 46.1°, 1.971 Å, I = 14.3
- (1 -1 2), 2θ = 47.0°, 1.933 Å, I = 27.9
- (2 1 2), 2θ = 53.1°, 1.724 Å, I = 18.8

Crystal structure
Unit cell a=4.230 b=4.771 c=5.998 alpha=89.99 beta=90.00 gamma=68.69
Space group P-1 (No. 2)
Symmetry-distinct sites (fractional):
Na  0.000  0.000  0.000
Zn  0.000  0.500  0.235
H  0.218  0.731  0.308
H  0.218  0.731  0.692
H  0.283  0.327  0.000
H  0.445  0.933  0.499
Ru  0.000  0.000  0.500


No. 2
Theoretical X-ray diffraction stick pattern of PCBr2 for Cu Ka, from a crystal structure in Alexandria, relaxed with GGA-PBE.
Lines closer than 0.1° are merged.

Peak list (10 most intense, 2θ = 10–90°, by angle)
- (0 0 6), 2θ = 20.5°, 4.323 Å, I = 43.4
- (0 0 9), 2θ = 31.0°, 2.882 Å, I = 31.5
- (1 0 1), 2θ = 31.4°, 2.848 Å, I = 79.7
- (0 1 2), 2θ = 32.0°, 2.798 Å, I = 100.0
- (0 1 5), 2θ = 35.8°, 2.508 Å, I = 42.5
- (1 0 7), 2θ = 39.8°, 2.267 Å, I = 83.3
- (0 1 8), 2θ = 42.1°, 2.147 Å, I = 27.9
- (1 1 0), 2θ = 55.6°, 1.654 Å, I = 37.2
- (0 1 14), 2θ = 59.4°, 1.556 Å, I = 29.2
- (1 1 9), 2θ = 65.0°, 1.435 Å, I = 22.0

Crystal structure
Unit cell a=3.3083 b=3.3083 c=25.9392 alpha=90.00 beta=90.00 gamma=120.00
Space group R-3m (No. 166, hexagonal axes)
Symmetry-distinct sites (fractional):
P  0.0000  0.0000  0.0000
C  0.0000  0.0000  0.5000
Br  0.0000  0.0000  0.4309